Computed X-ray diffraction stick pattern of InCuAg2S4 for Cu Kα (λ = 1.5418 Å), from a DFT-relaxed cell (PBE, Alexandria).

Atomic structure:
a = 6.843 Å, b = 6.843 Å, c = 6.843 Å
α = 130.47°, β = 130.47°, γ = 72.65°
Positions (direct):
In 0.000 0.000 0.000
Cu 0.750 0.250 0.500
Ag 0.250 0.750 0.500
Ag 0.500 0.500 0.000
S 0.098 0.598 0.964
S 0.402 0.365 0.500
S 0.635 0.134 0.036
S 0.866 0.902 0.500

Principal peaks in the range 2θ from 10° to 80°, most intense first:
| two_theta | I_rel |
| --- | --- |
| 27.31 | 100 |
| 45.66 | 36 |
| 53.18 | 29 |
| 44.71 | 19 |
| 31.20 | 15 |
| 54.85 | 13 |
| 73.36 | 11 |
| 32.48 | 7 |

=====

Computed X-ray diffraction stick pattern of In10CuAgS16 for Cu Kα (λ = 1.5418 Å), from a DFT-relaxed cell (PBE, Alexandria).

Atomic structure:
a = 7.708 Å, b = 7.708 Å, c = 10.936 Å
α = 90.00°, β = 90.00°, γ = 90.00°
Positions (direct):
In 0.000 0.258 0.363
In 0.000 0.500 0.750
In 0.000 0.742 0.363
In 0.234 0.500 0.125
In 0.258 0.000 0.637
In 0.500 0.000 0.250
In 0.500 0.234 0.875
In 0.500 0.766 0.875
In 0.742 0.000 0.637
In 0.766 0.500 0.125
Cu 0.000 0.000 0.000
Ag 0.500 0.500 0.500
S 0.000 0.233 0.614
S 0.000 0.252 0.123
S 0.000 0.748 0.123
S 0.000 0.767 0.614
S 0.233 0.000 0.386
S 0.234 0.500 0.363
S 0.252 0.000 0.877
S 0.270 0.500 0.883
S 0.500 0.234 0.637
S 0.500 0.270 0.117
S 0.500 0.730 0.117
S 0.500 0.766 0.637
S 0.730 0.500 0.883
S 0.748 0.000 0.877
S 0.766 0.500 0.363
S 0.767 0.000 0.386

Principal peaks in the range 2θ from 10° to 80°, most intense first:
| two_theta | I_rel |
| --- | --- |
| 27.10 | 100 |
| 47.11 | 64 |
| 23.05 | 25 |
| 43.12 | 25 |
| 43.02 | 20 |
| 32.87 | 19 |
| 14.06 | 13 |
| 55.20 | 12 |

=====

Computed X-ray diffraction stick pattern of In2CuAgSn2S8 for Cu Kα (λ = 1.5418 Å), from a DFT-relaxed cell (PBE, Alexandria).

Atomic structure:
a = 7.620 Å, b = 7.620 Å, c = 7.620 Å
α = 120.02°, β = 119.90°, γ = 90.07°
Positions (direct):
In 0.000 0.249 0.249
In 0.000 0.751 0.751
Cu 0.383 0.883 0.500
Ag 0.617 0.617 0.000
Sn 0.500 0.249 0.250
Sn 0.999 0.249 0.750
S 0.220 0.487 0.733
S 0.250 0.007 0.757
S 0.250 0.493 0.243
S 0.251 0.007 0.244
S 0.754 0.021 0.267
S 0.754 0.487 0.267
S 0.754 0.487 0.733
S 0.763 0.007 0.756

Principal peaks in the range 2θ from 10° to 80°, most intense first:
| two_theta | I_rel |
| --- | --- |
| 27.44 | 100 |
| 47.73 | 67 |
| 43.63 | 42 |
| 33.25 | 36 |
| 14.23 | 20 |
| 23.34 | 19 |
| 55.93 | 13 |
| 66.62 | 13 |

=====

Computed X-ray diffraction stick pattern of In4CuAg3Te8 for Cu Kα (λ = 1.5418 Å), from a DFT-relaxed cell (PBE, Alexandria).

Atomic structure:
a = 6.491 Å, b = 6.491 Å, c = 12.963 Å
α = 90.00°, β = 90.00°, γ = 90.00°
Positions (direct):
In 0.000 0.000 0.000
In 0.000 0.500 0.246
In 0.500 0.000 0.754
In 0.500 0.500 0.500
Cu 0.500 0.500 0.000
Ag 0.000 0.000 0.500
Ag 0.000 0.500 0.757
Ag 0.500 0.000 0.243
Te 0.242 0.250 0.627
Te 0.250 0.758 0.373
Te 0.264 0.732 0.883
Te 0.268 0.264 0.117
Te 0.732 0.736 0.117
Te 0.736 0.268 0.883
Te 0.750 0.242 0.373
Te 0.758 0.750 0.627

Principal peaks in the range 2θ from 10° to 80°, most intense first:
| two_theta | I_rel |
| --- | --- |
| 23.75 | 100 |
| 39.28 | 78 |
| 46.42 | 47 |
| 71.20 | 24 |
| 62.39 | 19 |
| 56.76 | 13 |
| 76.23 | 10 |
| 76.34 | 3 |

=====

Computed X-ray diffraction stick pattern of In4Cu3AgTe8 for Cu Kα (λ = 1.5418 Å), from a DFT-relaxed cell (PBE, Alexandria).

Atomic structure:
a = 6.354 Å, b = 7.799 Å, c = 11.904 Å
α = 77.24°, β = 74.54°, γ = 65.97°
Positions (direct):
In 0.000 0.000 0.000
In 0.002 0.490 0.508
In 0.249 0.870 0.633
In 0.254 0.370 0.125
Cu 0.500 0.245 0.755
Cu 0.747 0.121 0.385
Cu 0.755 0.620 0.873
Ag 0.502 0.746 0.253
Te 0.108 0.825 0.436
Te 0.126 0.327 0.922
Te 0.405 0.683 0.053
Te 0.409 0.181 0.570
Te 0.624 0.538 0.708
Te 0.637 0.058 0.206
Te 0.838 0.934 0.817
Te 0.865 0.416 0.320

Principal peaks in the range 2θ from 10° to 80°, most intense first:
| two_theta | I_rel |
| --- | --- |
| 24.23 | 100 |
| 40.09 | 75 |
| 47.44 | 29 |
| 47.30 | 16 |
| 72.88 | 14 |
| 63.73 | 12 |
| 72.73 | 8 |
| 58.06 | 7 |

=====

Computed X-ray diffraction stick pattern of CuAgIr for Cu Kα (λ = 1.5418 Å), from a DFT-relaxed cell (PBE, Alexandria).

Atomic structure:
a = 2.776 Å, b = 2.776 Å, c = 11.554 Å
α = 90.00°, β = 90.00°, γ = 90.00°
Positions (direct):
Cu 0.250 0.250 0.235
Cu 0.750 0.750 0.765
Ag 0.250 0.250 0.597
Ag 0.750 0.750 0.403
Ir 0.250 0.250 0.922
Ir 0.750 0.750 0.078

Principal peaks in the range 2θ from 10° to 80°, most intense first:
| two_theta | I_rel |
| --- | --- |
| 40.04 | 100 |
| 46.25 | 34 |
| 68.22 | 18 |
| 47.20 | 14 |
| 15.34 | 12 |
| 67.47 | 11 |
| 45.31 | 9 |
| 33.19 | 9 |

=====

Computed X-ray diffraction stick pattern of CuAg2Ir for Cu Kα (λ = 1.5418 Å), from a DFT-relaxed cell (PBE, Alexandria).

Atomic structure:
a = 4.949 Å, b = 4.949 Å, c = 4.949 Å
α = 133.62°, β = 133.62°, γ = 67.68°
Positions (direct):
Cu 0.000 0.000 0.000
Ag 0.250 0.750 0.500
Ag 0.750 0.250 0.500
Ir 0.500 0.500 0.000

Principal peaks in the range 2θ from 10° to 80°, most intense first:
| two_theta | I_rel |
| --- | --- |
| 39.36 | 100 |
| 46.61 | 31 |
| 66.07 | 21 |
| 25.29 | 19 |
| 44.06 | 18 |
| 77.86 | 13 |
| 68.04 | 10 |
| 40.23 | 6 |

=====

Computed X-ray diffraction stick pattern of CuAg2Ir for Cu Kα (λ = 1.5418 Å), from a DFT-relaxed cell (PBE, Alexandria).

Atomic structure:
a = 5.511 Å, b = 5.511 Å, c = 5.511 Å
α = 151.05°, β = 128.29°, γ = 60.35°
Positions (direct):
Cu 0.000 0.000 0.000
Ag 0.487 0.487 0.000
Ag 0.755 0.255 0.500
Ir 0.226 0.726 0.500

Principal peaks in the range 2θ from 10° to 80°, most intense first:
| two_theta | I_rel |
| --- | --- |
| 42.30 | 100 |
| 37.42 | 36 |
| 37.76 | 32 |
| 54.21 | 22 |
| 70.85 | 21 |
| 71.29 | 17 |
| 33.84 | 12 |
| 18.62 | 12 |

=====

Computed X-ray diffraction stick pattern of CuAg2MoIr for Cu Kα (λ = 1.5418 Å), from a DFT-relaxed cell (PBE, Alexandria).

Atomic structure:
a = 5.125 Å, b = 5.125 Å, c = 4.607 Å
α = 90.00°, β = 90.00°, γ = 90.00°
Positions (direct):
Cu 0.000 0.000 0.000
Ag 0.000 0.500 0.500
Ag 0.500 0.000 0.500
Mo 0.500 0.500 0.500
Ir 0.500 0.500 0.000

Principal peaks in the range 2θ from 10° to 80°, most intense first:
| two_theta | I_rel |
| --- | --- |
| 31.41 | 100 |
| 35.02 | 85 |
| 17.30 | 68 |
| 53.49 | 49 |
| 39.10 | 31 |
| 50.36 | 30 |
| 60.57 | 30 |
| 65.55 | 26 |

=====

Computed X-ray diffraction stick pattern of KCuAg for Cu Kα (λ = 1.5418 Å), from a DFT-relaxed cell (PBE, Alexandria).

Atomic structure:
a = 4.482 Å, b = 4.482 Å, c = 4.866 Å
α = 90.00°, β = 90.00°, γ = 120.00°
Positions (direct):
K 0.000 0.000 0.000
Cu 0.333 0.667 0.500
Ag 0.667 0.333 0.500

Principal peaks in the range 2θ from 10° to 80°, most intense first:
| two_theta | I_rel |
| --- | --- |
| 29.44 | 100 |
| 18.23 | 55 |
| 40.24 | 55 |
| 55.77 | 39 |
| 44.51 | 34 |
| 36.95 | 23 |
| 50.64 | 20 |
| 22.91 | 19 |

=====

Computed X-ray diffraction stick pattern of K2CuAgO2 for Cu Kα (λ = 1.5418 Å), from a DFT-relaxed cell (PBE, Alexandria).

Atomic structure:
a = 7.447 Å, b = 7.447 Å, c = 5.510 Å
α = 90.00°, β = 90.00°, γ = 60.71°
Positions (direct):
K 0.024 0.327 0.250
K 0.327 0.024 0.750
K 0.673 0.976 0.250
K 0.976 0.673 0.750
Cu 0.221 0.779 0.250
Cu 0.779 0.221 0.750
Ag 0.500 0.500 0.000
Ag 0.500 0.500 0.500
O 0.071 0.653 0.250
O 0.347 0.929 0.250
O 0.653 0.071 0.750
O 0.929 0.347 0.750

Principal peaks in the range 2θ from 10° to 80°, most intense first:
| two_theta | I_rel |
| --- | --- |
| 13.78 | 100 |
| 23.90 | 89 |
| 35.40 | 72 |
| 13.63 | 68 |
| 28.94 | 50 |
| 40.58 | 48 |
| 36.49 | 47 |
| 43.06 | 37 |

=====

Computed X-ray diffraction stick pattern of LaCu2Ag9 for Cu Kα (λ = 1.5418 Å), from a DFT-relaxed cell (PBE, Alexandria).

Atomic structure:
a = 8.727 Å, b = 8.727 Å, c = 8.727 Å
α = 100.01°, β = 100.01°, γ = 130.72°
Positions (direct):
La 0.375 0.625 0.750
La 0.625 0.375 0.250
Cu 0.000 0.000 0.000
Cu 0.000 0.000 0.500
Cu 0.000 0.500 0.000
Cu 0.500 0.000 0.500
Ag 0.125 0.875 0.250
Ag 0.135 0.562 0.329
Ag 0.135 0.806 0.573
Ag 0.194 0.267 0.329
Ag 0.194 0.865 0.927
Ag 0.267 0.194 0.829
Ag 0.267 0.438 0.073
Ag 0.438 0.267 0.573
Ag 0.438 0.865 0.171
Ag 0.562 0.135 0.829
Ag 0.562 0.733 0.427
Ag 0.733 0.562 0.927
Ag 0.733 0.806 0.171
Ag 0.806 0.135 0.073
Ag 0.806 0.733 0.671
Ag 0.865 0.194 0.427
Ag 0.865 0.438 0.671
Ag 0.875 0.125 0.750

Principal peaks in the range 2θ from 10° to 80°, most intense first:
| two_theta | I_rel |
| --- | --- |
| 35.34 | 100 |
| 42.15 | 84 |
| 35.80 | 73 |
| 43.84 | 31 |
| 37.95 | 31 |
| 64.02 | 28 |
| 41.34 | 23 |
| 40.62 | 22 |

=====

Computed X-ray diffraction stick pattern of LaCu4Ag4 for Cu Kα (λ = 1.5418 Å), from a DFT-relaxed cell (PBE, Alexandria).

Atomic structure:
a = 8.390 Å, b = 8.390 Å, c = 4.699 Å
α = 90.00°, β = 90.00°, γ = 90.00°
Positions (direct):
La 0.250 0.250 0.250
La 0.750 0.750 0.750
Cu 0.048 0.141 0.748
Cu 0.141 0.452 0.752
Cu 0.359 0.048 0.752
Cu 0.452 0.359 0.748
Cu 0.548 0.641 0.252
Cu 0.641 0.952 0.248
Cu 0.859 0.548 0.248
Cu 0.952 0.859 0.252
Ag 0.116 0.842 0.752
Ag 0.158 0.616 0.252
Ag 0.342 0.884 0.252
Ag 0.384 0.658 0.752
Ag 0.616 0.342 0.248
Ag 0.658 0.116 0.748
Ag 0.842 0.384 0.748
Ag 0.884 0.158 0.248

Principal peaks in the range 2θ from 10° to 80°, most intense first:
| two_theta | I_rel |
| --- | --- |
| 43.39 | 100 |
| 37.42 | 58 |
| 30.49 | 55 |
| 38.31 | 48 |
| 33.78 | 43 |
| 51.99 | 24 |
| 72.79 | 20 |
| 55.88 | 17 |